Starting from a structure optimized by DFT (GGA-PBE), the XRD peak list of K2Nd2RuO6 was computed for copper Kα.
No peak broadening, texture or thermal motion is included.

Structural model:
a = 5.9495 Å, b = 5.9495 Å, c = 6.5977 Å
α = 97.19°, β = 97.19°, γ = 119.17°
Positions (direct):
K 0.1562 0.8438 0.0000
K 0.8438 0.1562 0.0000
Nd 0.3340 0.6660 0.5000
Nd 0.6660 0.3340 0.5000
Ru 0.0000 0.0000 0.5000
O 0.0451 0.3520 0.6749
O 0.2322 0.2322 0.3255
O 0.3520 0.0451 0.6749
O 0.6480 0.9549 0.3251
O 0.7678 0.7678 0.6745
O 0.9549 0.6480 0.3251

Most intense lines, 2θ from 15° to 90°, in order of rising 2θ:
| 2θ (°) | Rel. int. |
| --- | --- |
| 27.91 | 51 |
| 30.31 | 63 |
| 30.64 | 35 |
| 31.77 | 61 |
| 35.05 | 100 |
| 36.18 | 45 |
| 44.30 | 26 |
| 49.53 | 30 |
| 52.95 | 28 |
| 56.33 | 18 |

---

Starting from a structure optimized by DFT (GGA-PBE), the XRD peak list of CeThB12 was computed for copper Kα.
No peak broadening, texture or thermal motion is included.

Structural model:
a = 4.1131 Å, b = 4.1131 Å, c = 8.2313 Å
α = 90.00°, β = 90.00°, γ = 90.00°
Positions (direct):
Ce 0.0000 0.0000 0.0000
Th 0.0000 0.0000 0.5000
B 0.1980 0.5000 0.2500
B 0.1980 0.5000 0.7500
B 0.5000 0.1980 0.2500
B 0.5000 0.1980 0.7500
B 0.5000 0.5000 0.0992
B 0.5000 0.5000 0.4011
B 0.5000 0.5000 0.5989
B 0.5000 0.5000 0.9008
B 0.5000 0.8020 0.2500
B 0.5000 0.8020 0.7500
B 0.8020 0.5000 0.2500
B 0.8020 0.5000 0.7500

Most intense lines, 2θ from 15° to 90°, in order of rising 2θ:
| 2θ (°) | Rel. int. |
| --- | --- |
| 21.60 | 74 |
| 30.74 | 100 |
| 37.88 | 42 |
| 44.02 | 21 |
| 49.55 | 51 |
| 54.65 | 30 |
| 68.41 | 28 |
| 72.68 | 20 |
| 76.85 | 14 |
| 89.04 | 19 |

---

Starting from a structure optimized by DFT (GGA-PBE), the XRD peak list of Sm6Er3Sc2 was computed for copper Kα.
No peak broadening, texture or thermal motion is included.

Structural model:
a = 16.4200 Å, b = 16.4200 Å, c = 16.4200 Å
α = 163.42°, β = 163.42°, γ = 23.53°
Positions (direct):
Sm 0.1153 0.6153 0.5000
Sm 0.1968 0.1968 0.0000
Sm 0.3847 0.8847 0.5000
Sm 0.6153 0.1153 0.5000
Sm 0.8032 0.8032 0.0000
Sm 0.8847 0.3847 0.5000
Er 0.3033 0.3033 0.0000
Er 0.5000 0.5000 0.0000
Er 0.6967 0.6967 0.0000
Sc 0.0431 0.0431 0.0000
Sc 0.9569 0.9569 0.0000

Most intense lines, 2θ from 15° to 90°, in order of rising 2θ:
| 2θ (°) | Rel. int. |
| --- | --- |
| 27.75 | 34 |
| 28.89 | 100 |
| 31.51 | 38 |
| 34.88 | 66 |
| 38.01 | 61 |
| 47.71 | 32 |
| 54.85 | 21 |
| 63.18 | 22 |
| 66.67 | 20 |
| 89.42 | 18 |

---

Starting from a structure optimized by DFT (GGA-PBE), the XRD peak list of Sn3Sb4Pb was computed for copper Kα.
No peak broadening, texture or thermal motion is included.

Structural model:
a = 7.6553 Å, b = 7.6553 Å, c = 4.3785 Å
α = 90.05°, β = 90.05°, γ = 70.43°
Positions (direct):
Sn 0.0000 0.0000 0.0000
Sn 0.0000 0.5000 0.5000
Sn 0.5000 0.0000 0.5000
Sb 0.2417 0.7583 0.5000
Sb 0.2452 0.2452 0.0002
Sb 0.7548 0.7548 0.9998
Sb 0.7583 0.2417 0.5000
Pb 0.5000 0.5000 0.0000

Most intense lines, 2θ from 15° to 90°, in order of rising 2θ:
| 2θ (°) | Rel. int. |
| --- | --- |
| 28.54 | 51 |
| 28.72 | 100 |
| 40.93 | 97 |
| 41.24 | 19 |
| 50.62 | 21 |
| 50.92 | 21 |
| 67.00 | 18 |
| 67.27 | 18 |
| 74.50 | 17 |
| 74.96 | 13 |

---

- What is the formula in the first record?
  K2Nd2RuO6